Entry 1:
Diffraction record for Rb4Sn2Au7. The powder XRD pattern is calculated, not measured: it uses a crystal structure in Alexandria, relaxed with GGA-PBE and Cu Kα (λ = 1.5418 Å).
Neutral-atom scattering factors, no anomalous dispersion.

The 12 most intense peaks (10° ≤ 2θ ≤ 90°), sorted by position:
15.92°, 5.567 Å, I = 100; 18.01°, 4.925 Å, I = 44; 25.67°, 3.470 Å, I = 28; 28.36°, 3.147 Å, I = 53; 30.35°, 2.945 Å, I = 47; 31.54°, 2.837 Å, I = 49; 32.16°, 2.783 Å, I = 90; 42.64°, 2.120 Å, I = 33; 45.31°, 2.001 Å, I = 41; 49.10°, 1.856 Å, I = 28; 52.77°, 1.735 Å, I = 32; 53.59°, 1.710 Å, I = 27

Atomic structure:
a b c (Å): 10.634 10.634 10.634
angles (deg): 38.09 38.09 38.09
Fractional positions:
Rb 0.184 0.184 0.184
Rb 0.312 0.312 0.312
Rb 0.688 0.688 0.688
Rb 0.816 0.816 0.816
Sn 0.050 0.050 0.050
Sn 0.950 0.950 0.950
Au 0.287 0.287 0.693
Au 0.287 0.693 0.287
Au 0.307 0.713 0.713
Au 0.500 0.500 0.500
Au 0.693 0.287 0.287
Au 0.713 0.307 0.713
Au 0.713 0.713 0.307



Entry 2:
Diffraction record for Rb2Sn5Au4. The powder XRD pattern is calculated, not measured: it uses a crystal structure in Alexandria, relaxed with GGA-PBE and Cu Kα (λ = 1.5418 Å).
Neutral-atom scattering factors, no anomalous dispersion.

The 12 most intense peaks (10° ≤ 2θ ≤ 90°), sorted by position:
12.43°, 7.120 Å, I = 67; 16.95°, 5.231 Å, I = 87; 25.01°, 3.561 Å, I = 26; 29.49°, 3.029 Å, I = 33; 32.88°, 2.724 Å, I = 48; 34.30°, 2.615 Å, I = 100; 35.23°, 2.547 Å, I = 60; 37.81°, 2.379 Å, I = 46; 39.08°, 2.305 Å, I = 51; 40.82°, 2.211 Å, I = 24; 41.61°, 2.170 Å, I = 50; 57.44°, 1.604 Å, I = 32

Atomic structure:
a b c (Å): 7.851 7.851 9.530
angles (deg): 125.92 125.92 46.98
Fractional positions:
Rb 0.225 0.225 0.286
Rb 0.775 0.775 0.714
Sn 0.212 0.700 0.236
Sn 0.300 0.788 0.764
Sn 0.500 0.500 0.000
Sn 0.700 0.212 0.236
Sn 0.788 0.300 0.764
Au 0.122 0.122 0.544
Au 0.256 0.256 0.917
Au 0.744 0.744 0.083
Au 0.878 0.878 0.456



Entry 3:
Diffraction record for RbSn2Au. The powder XRD pattern is calculated, not measured: it uses a crystal structure in Alexandria, relaxed with GGA-PBE and Cu Kα (λ = 1.5418 Å).
Neutral-atom scattering factors, no anomalous dispersion.

The 12 most intense peaks (10° ≤ 2θ ≤ 90°), sorted by position:
12.05°, 7.345 Å, I = 85; 24.23°, 3.673 Å, I = 15; 27.66°, 3.225 Å, I = 100; 36.40°, 2.468 Å, I = 34; 39.23°, 2.296 Å, I = 61; 41.18°, 2.192 Å, I = 28; 46.65°, 1.947 Å, I = 16; 47.15°, 1.928 Å, I = 27; 48.68°, 1.871 Å, I = 22; 63.57°, 1.464 Å, I = 15; 64.22°, 1.450 Å, I = 19; 76.74°, 1.242 Å, I = 13

Atomic structure:
a b c (Å): 4.593 4.593 22.036
angles (deg): 90.00 90.00 120.00
Fractional positions:
Rb 0.000 0.000 0.000
Rb 0.333 0.667 0.667
Rb 0.667 0.333 0.333
Sn 0.000 0.000 0.213
Sn 0.000 0.000 0.787
Sn 0.333 0.667 0.454
Sn 0.333 0.667 0.879
Sn 0.667 0.333 0.121
Sn 0.667 0.333 0.546
Au 0.000 0.000 0.500
Au 0.333 0.667 0.167
Au 0.667 0.333 0.833



What did the second record say?
Diffraction record for Rb2Sn5Au4. The powder XRD pattern is calculated, not measured: it uses a crystal structure in Alexandria, relaxed with GGA-PBE and Cu Kα (λ = 1.5418 Å).
Neutral-atom scattering factors, no anomalous dispersion.

The 12 most intense peaks (10° ≤ 2θ ≤ 90°), sorted by position:
12.43°, 7.120 Å, I = 67; 16.95°, 5.231 Å, I = 87; 25.01°, 3.561 Å, I = 26; 29.49°, 3.029 Å, I = 33; 32.88°, 2.724 Å, I = 48; 34.30°, 2.615 Å, I = 100; 35.23°, 2.547 Å, I = 60; 37.81°, 2.379 Å, I = 46; 39.08°, 2.305 Å, I = 51; 40.82°, 2.211 Å, I = 24; 41.61°, 2.170 Å, I = 50; 57.44°, 1.604 Å, I = 32

Atomic structure:
a b c (Å): 7.851 7.851 9.530
angles (deg): 125.92 125.92 46.98
Fractional positions:
Rb 0.225 0.225 0.286
Rb 0.775 0.775 0.714
Sn 0.212 0.700 0.236
Sn 0.300 0.788 0.764
Sn 0.500 0.500 0.000
Sn 0.700 0.212 0.236
Sn 0.788 0.300 0.764
Au 0.122 0.122 0.544
Au 0.256 0.256 0.917
Au 0.744 0.744 0.083
Au 0.878 0.878 0.456